Starting from a structure optimized by DFT (PBE), the X-ray powder pattern of Ac2TeI4 was computed for CuKα.

Top 10 peaks for 15° ≤ 2θ ≤ 90°, sorted by position:
two_theta	I_rel	hkl
16.1	30	0 0 6
17.6	40	1 0 1
20.5	14	1 0 4
30.4	100	1 1 0
32.4	70	1 0 10
34.7	36	1 1 6
45.0	28	0 2 10
54.1	20	3 0 0
55.3	31	2 1 10
73.0	14	1 3 10

Crystal structure
```
data_Ac2TeI4
_cell_length_a 5.8715
_cell_length_b 5.8715
_cell_length_c 32.9856
_cell_angle_alpha 90.00
_cell_angle_beta 90.00
_cell_angle_gamma 120.00
_space_group_name_H-M_alt 'R -3 m'
_space_group_IT_number 166
_space_group_name_Hall '-R 3 2"'
loop_
_atom_site_label
_atom_site_fract_x
_atom_site_fract_y
_atom_site_fract_z
Ac1 0.0000 0.0000 0.0926
Te1 0.0000 0.0000 0.0000
I1 0.0000 0.0000 0.2019
I2 0.0000 0.0000 0.4101
```

***

Starting from a structure optimized by DFT (PBE), the X-ray powder pattern of UI4 was computed for CuKα.

Top 10 peaks for 15° ≤ 2θ ≤ 90°, sorted by position:
two_theta	I_rel	hkl
16.1	25	1 1 -1
16.3	18	1 1 1
23.6	11	4 0 0
25.8	100	2 0 -2
32.8	15	4 2 -1
33.2	29	4 2 1
39.6	14	0 4 0
40.5	29	0 2 3
42.5	26	6 2 -1
47.9	13	2 4 -2

Crystal structure
```
data_UI4
_cell_length_a 15.084
_cell_length_b 9.096
_cell_length_c 7.673
_cell_angle_alpha 90.00
_cell_angle_beta 91.30
_cell_angle_gamma 90.00
_space_group_name_H-M_alt 'C 1 2/c 1'
_space_group_IT_number 15
loop_
_space_group_symop_operation_xyz
'x,y,z'
'-x,-y,-z'
'-x,y,-z+1/2'
'x,-y,z+1/2'
'x+1/2,y+1/2,z'
'-x+1/2,-y+1/2,-z'
'-x+1/2,y+1/2,-z+1/2'
'x+1/2,-y+1/2,z+1/2'
loop_
_atom_site_label
_atom_site_fract_x
_atom_site_fract_y
_atom_site_fract_z
U1 0.000 0.137 0.250
I1 0.112 0.113 0.924
I2 0.123 0.352 0.389
```

***

Starting from a structure optimized by DFT (PBE), the X-ray powder pattern of Tb5ErSc was computed for CuKα.

Top 10 peaks for 15° ≤ 2θ ≤ 90°, sorted by position:
two_theta	I_rel	hkl
31.2	100	1 1 1
36.2	50	2 1 -1
52.1	30	3 0 1
62.0	18	2 0 3
62.1	25	3 2 0
65.1	6	2 0 -4
65.2	6	2 2 2
85.2	7	4 -4 1
85.3	10	2 4 1
88.1	7	0 5 1

Crystal structure
```
data_Tb5ErSc
_cell_length_a 6.071
_cell_length_b 6.078
_cell_length_c 6.081
_cell_angle_alpha 99.66
_cell_angle_beta 99.51
_cell_angle_gamma 99.66
_space_group_name_H-M_alt 'P 1'
_space_group_IT_number 1
loop_
_space_group_symop_operation_xyz
'x,y,z'
loop_
_atom_site_label
_atom_site_fract_x
_atom_site_fract_y
_atom_site_fract_z
Tb1 0.000 0.000 0.000
Tb2 0.139 0.289 0.571
Tb3 0.287 0.575 0.147
Tb4 0.427 0.861 0.711
Tb5 0.714 0.436 0.859
Er1 0.575 0.148 0.286
Sc1 0.856 0.718 0.429
```